Entry 1:
Computed X-ray powder pattern
Compound: CsPb3Au3
Radiation: Cu Ka
Structure: the GGA-PBE geometry in Alexandria

Crystal structure
```
14
Lattice="8.010 0.000 0.000 0.000 8.010 0.000 0.000 0.000 8.010" Properties=species:S:1:pos:R:3 pbc="T T T"
Cs 0.000 0.000 0.000
Cs 4.005 4.005 4.005
Pb 0.000 2.002 4.005
Pb 0.000 6.007 4.005
Pb 2.002 4.005 0.000
Pb 4.005 0.000 2.002
Pb 4.005 0.000 6.007
Pb 6.007 4.005 0.000
Au 0.000 4.005 2.002
Au 0.000 4.005 6.007
Au 2.002 0.000 4.005
Au 4.005 2.002 0.000
Au 4.005 6.007 0.000
Au 6.007 0.000 4.005
```

Main lines, sorted by position (5 to 70 degrees two-theta):
2theta, d [Å], I (rel.)
15.65, 5.664, 45.8
22.20, 4.005, 41.1
27.27, 3.270, 100.0
38.95, 2.312, 54.3
42.22, 2.141, 62.9
45.29, 2.002, 40.9
50.99, 1.791, 18.3
53.67, 1.708, 15.7
63.63, 1.462, 19.0
65.98, 1.416, 27.2

---

Entry 2:
Computed X-ray powder pattern
Compound: CsSbPbAu
Radiation: Cu Ka
Structure: the GGA-PBE geometry in Alexandria

Crystal structure
```
4
Lattice="3.956 -2.289 0.000 3.956 2.289 0.000 -2.627 0.000 8.062" Properties=species:S:1:pos:R:3 pbc="T T T"
Cs 0.000 0.000 0.000
Sb 2.641 0.000 5.413
Pb 5.272 0.000 3.128
Au 0.000 0.000 4.485
```

Main lines, sorted by position (5 to 70 degrees two-theta):
2theta, d [Å], I (rel.)
10.97, 8.062, 64.6
22.75, 3.908, 14.2
26.91, 3.313, 21.4
29.14, 3.064, 100.0
37.42, 2.403, 22.1
39.41, 2.287, 56.0
41.03, 2.200, 17.8
43.86, 2.064, 17.9
49.71, 1.834, 15.4
65.28, 1.429, 13.8

---

Entry 3:
Computed X-ray powder pattern
Compound: CsSbPb2Au
Radiation: Cu Ka
Structure: the GGA-PBE geometry in Alexandria

Crystal structure
```
5
Lattice="5.437 0.000 0.000 0.000 5.437 0.000 0.000 0.000 7.573" Properties=species:S:1:pos:R:3 pbc="T T T"
Cs 0.000 0.000 0.000
Sb 2.719 2.719 1.639
Pb 0.000 2.719 3.341
Pb 2.719 0.000 3.341
Au 0.000 0.000 4.072
```

Main lines, sorted by position (5 to 70 degrees two-theta):
2theta, d [Å], I (rel.)
11.69, 7.573, 100.0
23.50, 3.786, 25.5
25.99, 3.428, 37.6
28.73, 3.107, 41.5
32.95, 2.719, 61.1
33.21, 2.698, 29.9
35.07, 2.559, 31.7
40.86, 2.208, 24.8
42.86, 2.110, 29.3
44.27, 2.046, 25.6

---

> Which formula does entry 3 have?

CsSbPb2Au